Entry 1:
Ba10Ge7O3: theoretical X-ray powder pattern (λ = 1.5418 Å (Cu Kα)), based on a GGA-PBE-relaxed structure.

Atomic structure:
```
Ba10Ge7O3
1.0
12.080 0.000 0.000
-6.040 10.462 0.000
0.000 0.000 5.041
Ba Ge O
10 7 3
direct
0.000 0.000 0.000
0.006 0.503 0.500
0.207 0.415 0.000
0.207 0.793 0.000
0.417 0.208 0.000
0.497 0.503 0.500
0.497 0.994 0.500
0.585 0.793 0.000
0.792 0.208 0.000
0.792 0.583 0.000
0.211 0.001 0.500
0.211 0.210 0.500
0.333 0.667 0.500
0.790 0.001 0.500
0.790 0.789 0.500
0.999 0.210 0.500
0.999 0.789 0.500
0.537 0.075 0.000
0.537 0.463 0.000
0.925 0.463 0.000
```

Peak list (10 most intense, 2θ from 10° to 90°, by intensity)
- d = 3.111 Å, rel. 100
- d = 2.520 Å, rel. 20
- d = 2.615 Å, rel. 16
- d = 1.870 Å, rel. 14
- d = 3.630 Å, rel. 13
- d = 3.020 Å, rel. 13
- d = 1.546 Å, rel. 12
- d = 1.934 Å, rel. 12
- d = 2.092 Å, rel. 11
- d = 1.815 Å, rel. 10


Entry 2:
Pa: theoretical X-ray powder pattern (λ = 1.5418 Å (Cu Kα)), based on a GGA-PBE-relaxed structure.

Atomic structure:
```
Pa
1.0
3.173 0.000 0.000
-1.587 2.748 0.000
0.000 0.000 5.667
Pa
2
direct
0.333 0.667 0.250
0.667 0.333 0.750
```

Peak list (10 most intense, 2θ from 10° to 90°, by intensity)
- d = 2.473 Å, rel. 100
- d = 2.834 Å, rel. 32
- d = 1.557 Å, rel. 25
- d = 1.384 Å, rel. 23
- d = 2.748 Å, rel. 22
- d = 1.587 Å, rel. 18
- d = 1.973 Å, rel. 17
- d = 1.335 Å, rel. 15
- d = 1.111 Å, rel. 9
- d = 1.259 Å, rel. 4


Entry 3:
ZrHgO3: theoretical X-ray powder pattern (λ = 1.5418 Å (Cu Kα)), based on a GGA-PBE-relaxed structure.

Atomic structure:
```
ZrHgO3
1.0
4.185 0.000 0.000
0.000 4.185 0.000
0.000 0.000 4.185
Zr Hg O
1 1 3
direct
0.000 0.000 0.000
0.500 0.500 0.500
0.000 0.000 0.500
0.000 0.500 0.000
0.500 0.000 0.000
```

Peak list (10 most intense, 2θ from 10° to 90°, by intensity)
- d = 2.959 Å, rel. 100
- d = 1.709 Å, rel. 41
- d = 2.093 Å, rel. 29
- d = 1.118 Å, rel. 22
- d = 1.480 Å, rel. 18
- d = 1.323 Å, rel. 18
- d = 2.416 Å, rel. 12
- d = 4.185 Å, rel. 11
- d = 1.872 Å, rel. 6
- d = 1.208 Å, rel. 6


Entry 4:
Mg6MnSi: theoretical X-ray powder pattern (λ = 1.5418 Å (Cu Kα)), based on a GGA-PBE-relaxed structure.

Atomic structure:
```
Mg6MnSi
1.0
4.789 0.000 0.000
0.000 3.095 5.304
0.000 -3.095 5.304
Mg Mn Si
6 1 1
direct
0.000 0.000 0.000
0.000 0.503 0.986
0.000 0.986 0.503
0.500 0.167 0.167
0.500 0.175 0.664
0.500 0.664 0.175
0.500 0.656 0.656
0.000 0.515 0.515
```

Peak list (10 most intense, 2θ from 10° to 90°, by intensity)
- d = 2.334 Å, rel. 100
- d = 2.320 Å, rel. 53
- d = 2.394 Å, rel. 37
- d = 2.673 Å, rel. 29
- d = 1.783 Å, rel. 17
- d = 1.292 Å, rel. 17
- d = 1.370 Å, rel. 17
- d = 1.535 Å, rel. 16
- d = 5.346 Å, rel. 15
- d = 1.287 Å, rel. 14